This entry pairs a crystal structure of Sr2FeCuPb2O6 with its simulated powder X-ray diffraction pattern. Radiation: copper Kα. Structure: the GGA+U geometry in Alexandria.

Cell and atoms:
```
12
Lattice="3.977 0.000 0.000 0.000 3.920 0.000 -0.234 0.000 12.296" Properties=species:S:1:pos:R:3 pbc="T T T"
Sr 0.004 0.000 1.753
Sr 3.739 0.000 10.542
Fe 1.988 1.960 0.000
Cu -0.117 0.000 6.148
Pb 1.866 1.960 4.368
Pb 1.876 1.960 7.928
O 0.000 1.960 0.000
O 0.367 0.000 4.357
O 1.742 1.960 10.108
O 1.988 0.000 0.000
O 2.001 1.960 2.188
O 3.375 0.000 7.939
```

Principal peaks in the range 2θ = 10–80°, most intense first:
31.6 deg, 2.831 Å, I = 100, (1 0 3); 32.1 deg, 2.791 Å, I = 95, (1 1 0); 31.0 deg, 2.881 Å, I = 32, (1 0 -3); 44.2 deg, 2.051 Å, I = 27, (0 0 6); 43.5 deg, 2.081 Å, I = 21, (1 1 -4); 46.3 deg, 1.960 Å, I = 21, (0 2 0); 45.6 deg, 1.988 Å, I = 20, (2 0 0); 29.0 deg, 3.074 Å, I = 17, (0 0 4); 56.8 deg, 1.620 Å, I = 15, (1 2 -3); 56.9 deg, 1.617 Å, I = 15, (2 1 3); 57.2 deg, 1.611 Å, I = 14, (1 2 3); 23.8 deg, 3.735 Å, I = 13, (0 1 1)